(1)
Structure and calculated powder diffraction line list of KRbAu3 (a cell relaxed with PBE; copper Kα).
Kinematic intensities with the Lorentz-polarization factor, no thermal factor.

Structure:
a b c (Å): 8.3772 8.3772 8.3772
angles (deg): 48.96 48.96 48.96
Sites, in units of the cell vectors:
K1 0.0811 0.0811 0.0811
K2 0.9189 0.9189 0.9189
Rb1 0.3550 0.3550 0.3550
Rb2 0.6450 0.6450 0.6450
Au1 0.0721 0.6610 0.6610
Au2 0.3390 0.3390 0.9279
Au3 0.3390 0.9279 0.3390
Au4 0.6610 0.0721 0.6610
Au5 0.6610 0.6610 0.0721
Au6 0.9279 0.3390 0.3390

Top 8 peaks for 2θ from 10° to 80°, sorted by position:
2θ = 12.03°, intensity 100
2θ = 28.43°, intensity 21
2θ = 30.00°, intensity 29
2θ = 32.06°, intensity 30
2θ = 33.96°, intensity 68
2θ = 39.88°, intensity 25
2θ = 44.58°, intensity 23
2θ = 46.99°, intensity 20



(2)
Structure and calculated powder diffraction line list of Rb4BiO5 (a cell relaxed with PBE; copper Kα).
Kinematic intensities with the Lorentz-polarization factor, no thermal factor.

Structure:
a b c (Å): 7.7566 7.7566 7.7566
angles (deg): 94.72 94.72 146.65
Sites, in units of the cell vectors:
Rb1 0.0980 0.7475 0.8455
Rb2 0.2525 0.0980 0.3506
Rb3 0.7475 0.9020 0.6494
Rb4 0.9020 0.2525 0.1545
Bi1 0.5000 0.5000 0.0000
O1 0.0000 0.0000 0.0000
O2 0.3124 0.5788 0.8912
O3 0.4212 0.3124 0.7336
O4 0.5788 0.6876 0.2664
O5 0.6876 0.4212 0.1088

Top 8 peaks for 2θ from 10° to 80°, sorted by position:
2θ = 11.91°, intensity 76
2θ = 26.83°, intensity 38
2θ = 27.60°, intensity 100
2θ = 36.86°, intensity 18
2θ = 38.31°, intensity 29
2θ = 47.86°, intensity 25
2θ = 49.28°, intensity 15
2θ = 56.99°, intensity 18



(3)
Structure and calculated powder diffraction line list of Cu2TePdO8 (a cell relaxed with PBE; copper Kα).
Kinematic intensities with the Lorentz-polarization factor, no thermal factor.

Structure:
a b c (Å): 5.6489 5.6489 5.6489
angles (deg): 111.43 111.43 105.62
Sites, in units of the cell vectors:
Cu1 0.0000 0.0000 0.0000
Cu2 0.7500 0.2500 0.5000
Te1 0.5000 0.5000 0.0000
Pd1 0.2500 0.7500 0.5000
O1 0.1444 0.4474 0.6969
O2 0.2216 0.0384 0.8168
O3 0.2216 0.4048 0.1832
O4 0.5526 0.2495 0.6969
O5 0.5526 0.8556 0.3031
O6 0.5952 0.7784 0.8168
O7 0.7505 0.4474 0.3031
O8 0.9616 0.7784 0.1832

Top 8 peaks for 2θ from 10° to 80°, sorted by position:
2θ = 19.06°, intensity 23
2θ = 28.04°, intensity 100
2θ = 32.93°, intensity 92
2θ = 40.07°, intensity 19
2θ = 52.80°, intensity 69
2θ = 57.96°, intensity 15
2θ = 61.65°, intensity 20
2θ = 68.30°, intensity 20



(4)
Structure and calculated powder diffraction line list of AcTeIO (a cell relaxed with PBE; copper Kα).
Kinematic intensities with the Lorentz-polarization factor, no thermal factor.

Structure:
a b c (Å): 4.2860 4.2860 15.4794
angles (deg): 90.00 90.00 90.00
Sites, in units of the cell vectors:
Ac1 0.2500 0.2500 0.0814
Ac2 0.7500 0.7500 0.9186
Te1 0.2500 0.7500 0.5000
Te2 0.7500 0.2500 0.5000
I1 0.2500 0.2500 0.7931
I2 0.7500 0.7500 0.2069
O1 0.2500 0.7500 0.0000
O2 0.7500 0.2500 0.0000

Top 8 peaks for 2θ from 10° to 80°, sorted by position:
2θ = 11.43°, intensity 42
2θ = 27.05°, intensity 100
2θ = 30.05°, intensity 90
2θ = 31.14°, intensity 70
2θ = 42.17°, intensity 38
2θ = 46.21°, intensity 36
2θ = 50.81°, intensity 36
2θ = 53.34°, intensity 31



(5)
Structure and calculated powder diffraction line list of NdFe5Co5Mo2 (a cell relaxed with PBE; copper Kα).
Kinematic intensities with the Lorentz-polarization factor, no thermal factor.

Structure:
a b c (Å): 4.7019 6.4832 6.5012
angles (deg): 82.39 68.90 69.36
Sites, in units of the cell vectors:
Nd1 0.0000 0.0000 0.0000
Fe1 0.0000 0.0000 0.5000
Fe2 0.0002 0.3586 0.6450
Fe3 0.9998 0.6414 0.3550
Fe4 0.5000 0.0000 0.5000
Fe5 0.5000 0.5000 0.0000
Co1 0.0000 0.5000 0.0000
Co2 0.2707 0.2293 0.2290
Co3 0.4987 0.7795 0.2207
Co4 0.5013 0.2205 0.7793
Co5 0.7293 0.7707 0.7710
Mo1 0.3571 0.6407 0.6425
Mo2 0.6429 0.3593 0.3575

Top 8 peaks for 2θ from 10° to 80°, sorted by position:
2θ = 36.80°, intensity 61
2θ = 38.29°, intensity 43
2θ = 42.00°, intensity 46
2θ = 42.29°, intensity 100
2θ = 42.46°, intensity 53
2θ = 42.63°, intensity 73
2θ = 42.77°, intensity 51
2θ = 44.07°, intensity 69



(6)
Structure and calculated powder diffraction line list of TiVReSi (a cell relaxed with PBE; copper Kα).
Kinematic intensities with the Lorentz-polarization factor, no thermal factor.

Structure:
a b c (Å): 4.2928 4.2928 4.2928
angles (deg): 60.00 60.00 60.00
Sites, in units of the cell vectors:
Ti1 0.0000 0.0000 0.0000
V1 0.2500 0.2500 0.2500
Re1 0.5000 0.5000 0.5000
Si1 0.7500 0.7500 0.7500

Top 8 peaks for 2θ from 10° to 80°, sorted by position:
2θ = 25.41°, intensity 49
2θ = 29.43°, intensity 32
2θ = 42.10°, intensity 100
2θ = 49.82°, intensity 26
2θ = 61.05°, intensity 16
2θ = 67.22°, intensity 11
2θ = 69.21°, intensity 12
2θ = 76.94°, intensity 33



(7)
Structure and calculated powder diffraction line list of SrMn3Au (a cell relaxed with PBE; copper Kα).
Kinematic intensities with the Lorentz-polarization factor, no thermal factor.

Structure:
a b c (Å): 5.0604 5.0604 5.0604
angles (deg): 90.00 90.00 90.00
Sites, in units of the cell vectors:
Sr1 0.0000 0.0000 0.0000
Mn1 0.0000 0.5000 0.5000
Mn2 0.5000 0.0000 0.5000
Mn3 0.5000 0.5000 0.0000
Au1 0.5000 0.5000 0.5000

Top 8 peaks for 2θ from 10° to 80°, sorted by position:
2θ = 17.53°, intensity 59
2θ = 24.88°, intensity 100
2θ = 35.48°, intensity 80
2θ = 39.83°, intensity 31
2θ = 43.82°, intensity 46
2θ = 51.05°, intensity 55
2θ = 57.60°, intensity 21
2θ = 69.50°, intensity 25



(8)
Structure and calculated powder diffraction line list of HoEr7Tm5 (a cell relaxed with PBE; copper Kα).
Kinematic intensities with the Lorentz-polarization factor, no thermal factor.

Structure:
a b c (Å): 8.5608 8.5608 8.5608
angles (deg): 134.73 99.95 97.10
Sites, in units of the cell vectors:
Ho1 0.0000 0.0000 0.0000
Er1 0.2288 0.5569 0.6719
Er2 0.3083 0.3083 0.0000
Er3 0.3861 0.0571 0.3290
Er4 0.6161 0.6161 0.0000
Er5 0.7281 0.0571 0.6710
Er6 0.8074 0.3074 0.5000
Er7 0.8850 0.5569 0.3281
Tm1 0.0346 0.0401 0.4606
Tm2 0.0346 0.5739 0.9945
Tm3 0.3064 0.8064 0.5000
Tm4 0.5795 0.0401 0.0055
Tm5 0.5795 0.5739 0.5394

Top 8 peaks for 2θ from 10° to 80°, sorted by position:
2θ = 27.82°, intensity 29
2θ = 31.41°, intensity 39
2θ = 31.60°, intensity 100
2θ = 32.07°, intensity 79
2θ = 35.48°, intensity 88
2θ = 36.28°, intensity 28
2θ = 57.49°, intensity 27
2θ = 58.79°, intensity 34



(9)
Structure and calculated powder diffraction line list of SmHo2Sc5 (a cell relaxed with PBE; copper Kα).
Kinematic intensities with the Lorentz-polarization factor, no thermal factor.

Structure:
a b c (Å): 8.0036 6.8594 6.3623
angles (deg): 74.40 55.64 49.96
Sites, in units of the cell vectors:
Sm1 0.0000 0.0000 0.0000
Ho1 0.4248 0.9137 0.0863
Ho2 0.9137 0.4248 0.5752
Sc1 0.0059 0.5020 0.9941
Sc2 0.4156 0.4156 0.0844
Sc3 0.4982 0.4982 0.5018
Sc4 0.5020 0.0059 0.4980
Sc5 0.9156 0.9156 0.5844

Top 8 peaks for 2θ from 10° to 80°, sorted by position:
2θ = 22.33°, intensity 25
2θ = 30.10°, intensity 26
2θ = 33.43°, intensity 24
2θ = 34.53°, intensity 100
2θ = 45.59°, intensity 16
2θ = 53.45°, intensity 18
2θ = 60.46°, intensity 19
2θ = 64.53°, intensity 20



(10)
Structure and calculated powder diffraction line list of Nd5TmTl (a cell relaxed with PBE; copper Kα).
Kinematic intensities with the Lorentz-polarization factor, no thermal factor.

Structure:
a b c (Å): 4.8586 4.8586 10.3619
angles (deg): 90.00 90.00 90.00
Sites, in units of the cell vectors:
Nd1 0.0000 0.0000 0.0000
Nd2 0.0000 0.5000 0.2472
Nd3 0.0000 0.5000 0.7528
Nd4 0.5000 0.0000 0.2472
Nd5 0.5000 0.0000 0.7528
Tm1 0.5000 0.5000 0.5000
Tl1 0.5000 0.5000 0.0000

Top 8 peaks for 2θ from 10° to 80°, sorted by position:
2θ = 31.24°, intensity 100
2θ = 34.63°, intensity 19
2θ = 37.00°, intensity 32
2θ = 51.58°, intensity 25
2θ = 53.33°, intensity 11
2θ = 59.95°, intensity 16
2θ = 63.12°, intensity 27
2θ = 65.16°, intensity 12



(11)
Structure and calculated powder diffraction line list of SrLiTl2Ru (a cell relaxed with PBE; copper Kα).
Kinematic intensities with the Lorentz-polarization factor, no thermal factor.

Structure:
a b c (Å): 5.9851 5.9851 5.3376
angles (deg): 90.00 90.00 90.00
Sites, in units of the cell vectors:
Sr1 0.0000 0.0000 0.0000
Li1 0.0000 0.0000 0.5000
Tl1 0.0000 0.5000 0.0000
Tl2 0.5000 0.0000 0.0000
Ru1 0.5000 0.5000 0.5000

Top 8 peaks for 2θ from 10° to 80°, sorted by position:
2θ = 16.61°, intensity 63
2θ = 22.32°, intensity 32
2θ = 26.89°, intensity 100
2θ = 29.86°, intensity 78
2θ = 34.36°, intensity 43
2θ = 42.73°, intensity 30
2θ = 45.54°, intensity 49
2θ = 51.21°, intensity 35



(12)
Structure and calculated powder diffraction line list of RbAl2AgP (a cell relaxed with PBE; copper Kα).
Kinematic intensities with the Lorentz-polarization factor, no thermal factor.

Structure:
a b c (Å): 5.9383 5.9383 5.4622
angles (deg): 90.00 90.00 90.00
Sites, in units of the cell vectors:
Rb1 0.0000 0.0000 0.0000
Al1 0.0000 0.5000 0.0000
Al2 0.5000 0.0000 0.0000
Ag1 0.5000 0.5000 0.5000
P1 0.0000 0.0000 0.5000

Top 8 peaks for 2θ from 10° to 80°, sorted by position:
2θ = 21.16°, intensity 62
2θ = 22.11°, intensity 100
2θ = 26.78°, intensity 29
2θ = 30.10°, intensity 67
2θ = 32.79°, intensity 27
2θ = 37.66°, intensity 51
2θ = 39.36°, intensity 24
2θ = 45.10°, intensity 42



(13)
Structure and calculated powder diffraction line list of Dy6In3Ru (a cell relaxed with PBE; copper Kα).
Kinematic intensities with the Lorentz-polarization factor, no thermal factor.

Structure:
a b c (Å): 9.0347 11.5738 5.1922
angles (deg): 90.00 90.00 90.00
Sites, in units of the cell vectors:
Dy1 0.0119 0.2360 0.0000
Dy2 0.1544 0.0821 0.5000
Dy3 0.1915 0.4144 0.5000
Dy4 0.3085 0.9144 0.0000
Dy5 0.3456 0.5821 0.0000
Dy6 0.4881 0.7360 0.5000
Dy7 0.5119 0.2640 0.5000
Dy8 0.6544 0.4179 0.0000
Dy9 0.6915 0.0856 0.0000
Dy10 0.8085 0.5856 0.5000
Dy11 0.8456 0.9179 0.5000
Dy12 0.9881 0.7640 0.0000
In1 0.0000 0.5000 0.0000
In2 0.1544 0.7257 0.5000
In3 0.3456 0.2257 0.0000
In4 0.5000 0.0000 0.5000
In5 0.6544 0.7743 0.0000
In6 0.8456 0.2743 0.5000
Ru1 0.0000 0.0000 0.0000
Ru2 0.5000 0.5000 0.5000

Top 8 peaks for 2θ from 10° to 80°, sorted by position:
2θ = 30.50°, intensity 100
2θ = 34.43°, intensity 83
2θ = 34.55°, intensity 44
2θ = 36.91°, intensity 38
2θ = 46.72°, intensity 17
2θ = 59.26°, intensity 16
2θ = 59.67°, intensity 18
2θ = 61.83°, intensity 16



(14)
Structure and calculated powder diffraction line list of Ho6Er8Zr (a cell relaxed with PBE; copper Kα).
Kinematic intensities with the Lorentz-polarization factor, no thermal factor.

Structure:
a b c (Å): 9.6704 9.6704 5.7163
angles (deg): 90.00 90.00 120.00
Sites, in units of the cell vectors:
Ho1 0.0928 0.6216 0.2557
Ho2 0.3784 0.4712 0.2557
Ho3 0.4712 0.0928 0.7443
Ho4 0.5288 0.9072 0.2557
Ho5 0.6216 0.5288 0.7443
Ho6 0.9072 0.3784 0.7443
Er1 0.0515 0.7817 0.7674
Er2 0.2183 0.2698 0.7674
Er3 0.2698 0.0515 0.2326
Er4 0.3333 0.6667 0.7649
Er5 0.6667 0.3333 0.2351
Er6 0.7302 0.9485 0.7674
Er7 0.7817 0.7302 0.2326
Er8 0.9485 0.2183 0.2326
Zr1 0.0000 0.0000 0.5000

Top 8 peaks for 2θ from 10° to 80°, sorted by position:
2θ = 28.19°, intensity 22
2θ = 31.30°, intensity 23
2θ = 32.33°, intensity 100
2θ = 42.62°, intensity 19
2θ = 49.90°, intensity 19
2θ = 56.36°, intensity 20
2θ = 60.09°, intensity 18
2θ = 60.72°, intensity 15